For MnZn6O6, a DFT-relaxed cell (PBE+U, Alexandria) gives the simulated X-ray diffraction stick pattern in this record (Cu Kα (λ = 1.5418 Å)).
Kinematic intensities with the Lorentz-polarization factor, no thermal factor.

Top 10 peaks for 10° ≤ 2θ ≤ 80°, by angle:
5.740 Å, 2θ = 15.4°, I 12
4.059 Å, 2θ = 21.9°, I 48
2.870 Å, 2θ = 31.2°, I 36
2.567 Å, 2θ = 35.0°, I 100
2.343 Å, 2θ = 38.4°, I 80
1.657 Å, 2θ = 55.5°, I 35
1.592 Å, 2θ = 57.9°, I 24
1.534 Å, 2θ = 60.3°, I 38
1.435 Å, 2θ = 65.0°, I 23
1.253 Å, 2θ = 76.0°, I 21

Structure:
Cell: 5.740 5.740 5.740 Å, 90.00 90.00 90.00°
Fractional coordinates of all 13 atoms:
Mn (0.000, 0.000, 0.000)
Zn (0.000, 0.251, 0.500)
Zn (0.000, 0.749, 0.500)
Zn (0.251, 0.500, 0.000)
Zn (0.500, 0.000, 0.251)
Zn (0.500, 0.000, 0.749)
Zn (0.749, 0.500, 0.000)
O (0.000, 0.500, 0.251)
O (0.000, 0.500, 0.749)
O (0.251, 0.000, 0.500)
O (0.500, 0.251, 0.000)
O (0.500, 0.749, 0.000)
O (0.749, 0.000, 0.500)



For Mn3ZnO10, a DFT-relaxed cell (PBE+U, Alexandria) gives the simulated X-ray diffraction stick pattern in this record (Cu Kα (λ = 1.5418 Å)).
Kinematic intensities with the Lorentz-polarization factor, no thermal factor.

Top 10 peaks for 10° ≤ 2θ ≤ 80°, by angle:
8.263 Å, 2θ = 10.7°, I 100
6.485 Å, 2θ = 13.7°, I 8
4.132 Å, 2θ = 21.5°, I 12
2.828 Å, 2θ = 31.6°, I 5
2.814 Å, 2θ = 31.8°, I 5
2.526 Å, 2θ = 35.5°, I 12
2.350 Å, 2θ = 38.3°, I 13
2.064 Å, 2θ = 43.9°, I 7
1.466 Å, 2θ = 63.4°, I 5
1.444 Å, 2θ = 64.6°, I 7

Structure:
Cell: 9.399 9.399 9.399 Å, 48.75 48.75 48.75°
Fractional coordinates of all 28 atoms:
Mn (0.072, 0.643, 0.786)
Mn (0.214, 0.928, 0.357)
Mn (0.357, 0.214, 0.928)
Mn (0.643, 0.786, 0.072)
Mn (0.786, 0.072, 0.643)
Mn (0.928, 0.357, 0.214)
Zn (0.441, 0.441, 0.441)
Zn (0.559, 0.559, 0.559)
O (0.065, 0.917, 0.635)
O (0.076, 0.422, 0.516)
O (0.083, 0.365, 0.935)
O (0.194, 0.666, 0.510)
O (0.205, 0.205, 0.205)
O (0.334, 0.490, 0.806)
O (0.365, 0.935, 0.083)
O (0.422, 0.516, 0.076)
O (0.484, 0.924, 0.578)
O (0.490, 0.806, 0.334)
O (0.510, 0.194, 0.666)
O (0.516, 0.076, 0.422)
O (0.578, 0.484, 0.924)
O (0.635, 0.065, 0.917)
O (0.666, 0.510, 0.194)
O (0.795, 0.795, 0.795)
O (0.806, 0.334, 0.490)
O (0.917, 0.635, 0.065)
O (0.924, 0.578, 0.484)
O (0.935, 0.083, 0.365)



For Mn3ZnO10, a DFT-relaxed cell (PBE+U, Alexandria) gives the simulated X-ray diffraction stick pattern in this record (Cu Kα (λ = 1.5418 Å)).
Kinematic intensities with the Lorentz-polarization factor, no thermal factor.

Top 10 peaks for 10° ≤ 2θ ≤ 80°, by angle:
7.990 Å, 2θ = 11.1°, I 100
6.571 Å, 2θ = 13.5°, I 3
6.461 Å, 2θ = 13.7°, I 4
3.995 Å, 2θ = 22.3°, I 10
2.532 Å, 2θ = 35.5°, I 10
2.493 Å, 2θ = 36.0°, I 5
2.381 Å, 2θ = 37.8°, I 5
2.360 Å, 2θ = 38.1°, I 3
2.263 Å, 2θ = 39.8°, I 4
1.464 Å, 2θ = 63.5°, I 4

Structure:
Cell: 7.743 7.753 8.894 Å, 111.02 92.36 119.89°
Fractional coordinates of all 28 atoms:
Mn (0.072, 0.357, 0.000)
Mn (0.214, 0.071, 0.999)
Mn (0.358, 0.785, 0.000)
Mn (0.642, 0.215, 0.000)
Mn (0.786, 0.929, 0.001)
Mn (0.928, 0.643, 0.000)
Zn (0.434, 0.390, 0.811)
Zn (0.566, 0.610, 0.189)
O (0.067, 0.192, 0.121)
O (0.081, 0.526, 0.879)
O (0.191, 0.211, 0.865)
O (0.207, 0.902, 0.119)
O (0.276, 0.283, 0.532)
O (0.336, 0.629, 0.132)
O (0.347, 0.411, 0.467)
O (0.363, 0.955, 0.878)
O (0.416, 0.979, 0.513)
O (0.490, 0.313, 0.132)
O (0.510, 0.687, 0.868)
O (0.584, 0.021, 0.487)
O (0.637, 0.045, 0.122)
O (0.653, 0.589, 0.533)
O (0.664, 0.371, 0.868)
O (0.724, 0.717, 0.468)
O (0.793, 0.098, 0.881)
O (0.809, 0.789, 0.135)
O (0.919, 0.474, 0.121)
O (0.933, 0.808, 0.879)



For Mn2ZnO5, a DFT-relaxed cell (PBE+U, Alexandria) gives the simulated X-ray diffraction stick pattern in this record (Cu Kα (λ = 1.5418 Å)).
Kinematic intensities with the Lorentz-polarization factor, no thermal factor.

Top 10 peaks for 10° ≤ 2θ ≤ 80°, by angle:
4.544 Å, 2θ = 19.5°, I 22
3.591 Å, 2θ = 24.8°, I 100
2.711 Å, 2θ = 33.0°, I 90
2.618 Å, 2θ = 34.2°, I 67
2.462 Å, 2θ = 36.5°, I 43
2.272 Å, 2θ = 39.7°, I 47
1.953 Å, 2θ = 46.5°, I 39
1.764 Å, 2θ = 51.8°, I 30
1.716 Å, 2θ = 53.4°, I 40
1.435 Å, 2θ = 65.0°, I 44

Structure:
Cell: 3.528 11.719 4.544 Å, 90.00 90.00 90.00°
Fractional coordinates of all 16 atoms:
Mn (0.250, 0.100, 0.028)
Mn (0.250, 0.400, 0.028)
Mn (0.750, 0.600, 0.972)
Mn (0.750, 0.900, 0.972)
Zn (0.250, 0.750, 0.478)
Zn (0.750, 0.250, 0.522)
O (0.250, 0.138, 0.408)
O (0.250, 0.250, 0.883)
O (0.250, 0.362, 0.408)
O (0.250, 0.570, 0.070)
O (0.250, 0.930, 0.070)
O (0.750, 0.070, 0.930)
O (0.750, 0.430, 0.930)
O (0.750, 0.638, 0.592)
O (0.750, 0.750, 0.117)
O (0.750, 0.862, 0.592)



For ZrMn2O4, a DFT-relaxed cell (PBE+U, Alexandria) gives the simulated X-ray diffraction stick pattern in this record (Cu Kα (λ = 1.5418 Å)).
Kinematic intensities with the Lorentz-polarization factor, no thermal factor.

Top 10 peaks for 10° ≤ 2θ ≤ 80°, by angle:
5.599 Å, 2θ = 15.8°, I 34
4.540 Å, 2θ = 19.6°, I 56
3.286 Å, 2θ = 27.1°, I 53
2.861 Å, 2θ = 31.3°, I 32
2.847 Å, 2θ = 31.4°, I 100
2.504 Å, 2θ = 35.9°, I 39
2.180 Å, 2θ = 41.4°, I 27
2.008 Å, 2θ = 45.2°, I 35
1.866 Å, 2θ = 48.8°, I 21
1.621 Å, 2θ = 56.8°, I 26

Structure:
Cell: 6.134 6.134 5.356 Å, 107.56 107.56 31.95°
Fractional coordinates of all 7 atoms:
Zr (0.000, 0.000, 0.000)
Mn (0.350, 0.350, 0.446)
Mn (0.650, 0.650, 0.554)
O (0.158, 0.158, 0.324)
O (0.445, 0.445, 0.187)
O (0.555, 0.555, 0.813)
O (0.842, 0.842, 0.676)